Record 1
Structure and theoretical powder X-ray diffraction pattern of Li5BiS4 (a structure optimized by DFT (PBE); CuKα).

Most intense lines, 2θ from 15° to 90°, sorted by position:
| hkl | 2theta | I/Imax |
| --- | --- | --- |
| 0 1 1 | 18.11 | 100 |
| 1 0 1 | 19.07 | 81 |
| 0 2 0 | 19.24 | 44 |
| 1 2 1 | 27.22 | 67 |
| 2 1 1 | 29.17 | 63 |
| 2 2 2 | 43.57 | 49 |

Crystal structure
```
data_Li5BiS4
_symmetry_space_group_name_H-M 'P m m n'
_symmetry_Int_Tables_number 59
_cell_length_a 7.842
_cell_length_b 9.227
_cell_length_c 5.781
_cell_angle_alpha 90.00
_cell_angle_beta 90.00
_cell_angle_gamma 90.00
loop_
_symmetry_equiv_pos_as_xyz
'x,y,z'
'-x,-y,-z'
'-x+1/2,-y+1/2,z'
'x+1/2,y+1/2,-z'
'x+1/2,-y,-z'
'-x+1/2,y,z'
'-x,y+1/2,-z'
'x,-y+1/2,z'
loop_
_atom_site_label
_atom_site_fract_x
_atom_site_fract_y
_atom_site_fract_z
Li1 0.013 0.048 0.242
Li2 0.250 0.750 0.233
Bi1 0.250 0.250 0.809
S1 0.000 0.250 0.517
S2 0.250 0.531 0.990
```

Record 2
Structure and theoretical powder X-ray diffraction pattern of LiBiS2 (a structure optimized by DFT (PBE); CuKα).

Most intense lines, 2θ from 15° to 90°, sorted by position:
| hkl | 2theta | I/Imax |
| --- | --- | --- |
| 1 0 1 | 17.74 | 100 |
| 1 1 2 | 27.60 | 36 |
| 1 0 3 | 28.64 | 33 |
| 2 0 0 | 32.09 | 47 |
| 2 1 1 | 36.90 | 34 |
| 2 0 4 | 45.76 | 35 |

Crystal structure
```
data_LiBiS2
_symmetry_space_group_name_H-M 'I 41/a m d'
_symmetry_Int_Tables_number 141
_cell_length_a 5.579
_cell_length_b 5.579
_cell_length_c 11.276
_cell_angle_alpha 90.00
_cell_angle_beta 90.00
_cell_angle_gamma 90.00
loop_
_symmetry_equiv_pos_as_xyz
'x,y,z'
'-x,-y,-z'
'-y+1/4,x+3/4,z+1/4'
'y+1/4,-x+3/4,-z+1/4'
'-x+1/2,-y,z+1/2'
'x+1/2,y,-z+1/2'
'y+1/4,-x+1/4,z+3/4'
'-y+1/4,x+1/4,-z+3/4'
'x,-y,-z'
'-x,y,z'
'-y+1/4,-x+1/4,-z+3/4'
'y+1/4,x+1/4,z+3/4'
'-x+1/2,y,-z+1/2'
'x+1/2,-y,z+1/2'
'y+1/4,x+3/4,-z+1/4'
'-y+1/4,-x+3/4,z+1/4'
'x+1/2,y+1/2,z+1/2'
'-x+1/2,-y+1/2,-z+1/2'
'-y+3/4,x+1/4,z+3/4'
'y+3/4,-x+1/4,-z+3/4'
'-x,-y+1/2,z'
'x,y+1/2,-z'
'y+3/4,-x+3/4,z+1/4'
'-y+3/4,x+3/4,-z+1/4'
'x+1/2,-y+1/2,-z+1/2'
'-x+1/2,y+1/2,z+1/2'
'-y+3/4,-x+3/4,-z+1/4'
'y+3/4,x+3/4,z+1/4'
'-x,y+1/2,-z'
'x,-y+1/2,z'
'y+3/4,x+1/4,-z+3/4'
'-y+3/4,-x+1/4,z+3/4'
loop_
_atom_site_label
_atom_site_fract_x
_atom_site_fract_y
_atom_site_fract_z
Li1 0.000 0.250 0.375
Bi1 0.000 0.250 0.875
S1 0.000 0.250 0.126
```